1.
# Cs12Tl
Computed X-ray diffraction stick pattern, Cu Kα X-rays. Input: a DFT-relaxed cell (GGA-PBE, Alexandria).
Neutral-atom scattering factors, no anomalous dispersion.

Atomic structure:
Cell lengths 13.8374, 13.8374, 13.8374 Å; angles 90.00, 90.00, 90.00 degrees
Space group Im-3 (No. 204)
Asymmetric unit:
Cs (0.0000, 0.1737, 0.3012) [24 per cell]
Tl (0.0000, 0.0000, 0.0000) [2 per cell]

Main lines, in order of rising 2θ (10 to 80 degrees two-theta):
2θ = 20.29°, I 100
2θ = 22.26°, I 39
2θ = 24.06°, I 95
2θ = 37.91°, I 53
2θ = 40.17°, I 44
2θ = 46.40°, I 23
2θ = 55.57°, I 18
2θ = 56.42°, I 17

2.
# CsTl6
Computed X-ray diffraction stick pattern, Cu Kα X-rays. Input: a DFT-relaxed cell (GGA-PBE, Alexandria).
Neutral-atom scattering factors, no anomalous dispersion.

Atomic structure:
Cell lengths 10.6897, 6.9784, 13.4109 Å; angles 90.00, 90.00, 90.00 degrees
Space group Pnma (No. 62)
Asymmetric unit:
Cs (0.2401, 0.2500, 0.0625) [4 per cell]
Tl (0.0642, 0.7500, 0.0936) [4 per cell]
Tl (0.0659, 0.0136, 0.3108) [8 per cell]
Tl (0.1001, 0.2500, 0.5249) [4 per cell]
Tl (0.1396, 0.7500, 0.8528) [4 per cell]
Tl (0.1891, 0.2500, 0.7613) [4 per cell]

Main lines, in order of rising 2θ (10 to 80 degrees two-theta):
2θ = 27.89°, I 45
2θ = 28.90°, I 100
2θ = 29.01°, I 54
2θ = 31.33°, I 57
2θ = 33.65°, I 75
2θ = 34.08°, I 55
2θ = 34.21°, I 44
2θ = 34.47°, I 34

3.
# Cs3Tl13
Computed X-ray diffraction stick pattern, Cu Kα X-rays. Input: a DFT-relaxed cell (GGA-PBE, Alexandria).
Neutral-atom scattering factors, no anomalous dispersion.

Atomic structure:
Cell lengths 8.7841, 10.9921, 12.9203 Å; angles 90.00, 90.00, 90.00 degrees
Space group Amm2 (No. 38)
Asymmetric unit:
Cs (0.0000, 0.0000, 0.0000) [2 per cell]
Cs (0.2673, 0.0000, 0.3123) [4 per cell]
Tl (0.0000, 0.0000, 0.5430) [2 per cell]
Tl (0.0000, 0.2233, 0.7373) [4 per cell]
Tl (0.2365, 0.0000, 0.7517) [4 per cell]
Tl (0.2971, 0.2430, 0.5747) [8 per cell]
Tl (0.5000, 0.0000, 0.0225) [2 per cell]
Tl (0.5000, 0.0000, 0.5775) [2 per cell]
Tl (0.5000, 0.1891, 0.8195) [4 per cell]

Main lines, in order of rising 2θ (10 to 80 degrees two-theta):
2θ = 10.57°, I 20
2θ = 27.62°, I 17
2θ = 29.48°, I 100
2θ = 32.58°, I 22
2θ = 38.24°, I 13
2θ = 41.12°, I 11
2θ = 55.55°, I 8
2θ = 56.24°, I 8

4.
# Cs6Tl23
Computed X-ray diffraction stick pattern, Cu Kα X-rays. Input: a DFT-relaxed cell (GGA-PBE, Alexandria).
Neutral-atom scattering factors, no anomalous dispersion.

Atomic structure:
Cell lengths 16.3818, 16.3818, 16.3818 Å; angles 90.00, 90.00, 90.00 degrees
Space group Fm-3m (No. 225)
Asymmetric unit:
Cs (0.0000, 0.0000, 0.2104) [24 per cell]
Tl (0.0000, 0.0000, 0.5000) [4 per cell]
Tl (0.0000, 0.2500, 0.2500) [24 per cell]
Tl (0.1243, 0.1243, 0.3757) [32 per cell]
Tl (0.1757, 0.1757, 0.1757) [32 per cell]

Main lines, in order of rising 2θ (10 to 80 degrees two-theta):
2θ = 10.80°, I 29
2θ = 28.31°, I 36
2θ = 30.88°, I 100
2θ = 32.33°, I 35
2θ = 35.95°, I 19
2θ = 36.38°, I 20
2θ = 54.91°, I 28
2θ = 55.84°, I 19

5.
# CsTl5
Computed X-ray diffraction stick pattern, Cu Kα X-rays. Input: a DFT-relaxed cell (GGA-PBE, Alexandria).
Neutral-atom scattering factors, no anomalous dispersion.

Atomic structure:
Cell lengths 10.3688, 5.0229, 9.0575 Å; angles 90.00, 100.66, 90.00 degrees
Space group C2/m (No. 12)
Asymmetric unit:
Cs (0.0000, 0.0000, 0.0000) [2 per cell]
Tl (0.0000, 0.0000, 0.5000) [2 per cell]
Tl (0.1447, 0.5000, 0.7235) [4 per cell]
Tl (0.1750, 0.5000, 0.3516) [4 per cell]

Main lines, in order of rising 2θ (10 to 80 degrees two-theta):
2θ = 26.98°, I 91
2θ = 28.98°, I 24
2θ = 31.80°, I 100
2θ = 34.84°, I 58
2θ = 35.75°, I 39
2θ = 37.27°, I 35
2θ = 52.62°, I 20
2θ = 66.44°, I 22

6.
# Cs2Tl13
Computed X-ray diffraction stick pattern, Cu Kα X-rays. Input: a DFT-relaxed cell (GGA-PBE, Alexandria).
Neutral-atom scattering factors, no anomalous dispersion.

Atomic structure:
Cell lengths 8.9647, 8.9647, 31.5180 Å; angles 90.00, 90.00, 120.00 degrees
Space group R-3m (No. 166, hexagonal axes)
Asymmetric unit:
Cs (0.0000, 0.0000, 0.1927) [6 per cell]
Tl (0.0000, 0.0000, 0.0000) [3 per cell]
Tl (0.0810, 0.5405, 0.5883) [18 per cell]
Tl (0.0924, 0.5462, 0.3105) [18 per cell]

Main lines, in order of rising 2θ (10 to 80 degrees two-theta):
2θ = 11.74°, I 84
2θ = 22.83°, I 65
2θ = 23.09°, I 34
2θ = 30.60°, I 43
2θ = 32.56°, I 100
2θ = 33.33°, I 43
2θ = 35.73°, I 74
2θ = 36.73°, I 47

7.
# Cs2ZrTl4
Computed X-ray diffraction stick pattern, Cu Kα X-rays. Input: a DFT-relaxed cell (GGA-PBE, Alexandria).
Neutral-atom scattering factors, no anomalous dispersion.

Atomic structure:
Cell lengths 5.8967, 5.8967, 19.6250 Å; angles 90.00, 90.00, 90.00 degrees
Space group I4/mmm (No. 139)
Asymmetric unit:
Cs (0.0000, 0.0000, 0.1425) [4 per cell]
Zr (0.0000, 0.0000, 0.5000) [2 per cell]
Tl (0.0000, 0.0000, 0.3545) [4 per cell]
Tl (0.0000, 0.5000, 0.0000) [4 per cell]

Main lines, in order of rising 2θ (10 to 80 degrees two-theta):
2θ = 23.18°, I 43
2θ = 27.27°, I 31
2θ = 28.09°, I 100
2θ = 30.32°, I 69
2θ = 41.22°, I 40
2θ = 43.40°, I 26
2θ = 48.26°, I 22
2θ = 52.50°, I 36

8.
# Cs2YV
Computed X-ray diffraction stick pattern, Cu Kα X-rays. Input: a DFT-relaxed cell (GGA-PBE, Alexandria).
Neutral-atom scattering factors, no anomalous dispersion.

Atomic structure:
Cell lengths 9.1421, 9.1421, 9.1421 Å; angles 90.00, 90.00, 90.00 degrees
Space group Fm-3m (No. 225)
Asymmetric unit:
Cs (0.2500, 0.2500, 0.2500) [8 per cell]
Y (0.0000, 0.0000, 0.0000) [4 per cell]
V (0.0000, 0.0000, 0.5000) [4 per cell]

Main lines, in order of rising 2θ (10 to 80 degrees two-theta):
2θ = 19.42°, I 10
2θ = 27.60°, I 100
2θ = 39.43°, I 19
2θ = 44.31°, I 5
2θ = 48.80°, I 40
2θ = 56.98°, I 12
2θ = 64.46°, I 17
2θ = 78.25°, I 20

9.
# CsYb3
Computed X-ray diffraction stick pattern, Cu Kα X-rays. Input: a DFT-relaxed cell (GGA-PBE, Alexandria).
Neutral-atom scattering factors, no anomalous dispersion.

Atomic structure:
Cell lengths 5.7658, 5.7658, 5.7658 Å; angles 90.00, 90.00, 90.00 degrees
Space group Pm-3m (No. 221)
Asymmetric unit:
Cs (0.0000, 0.0000, 0.0000) [1 per cell]
Yb (0.0000, 0.5000, 0.5000) [3 per cell]

Main lines, in order of rising 2θ (10 to 80 degrees two-theta):
2θ = 26.78°, I 100
2θ = 31.02°, I 51
2θ = 44.44°, I 38
2θ = 52.65°, I 47
2θ = 55.18°, I 14
2θ = 64.66°, I 6
2θ = 71.30°, I 19
2θ = 73.45°, I 18

10.
# CsYb6
Computed X-ray diffraction stick pattern, Cu Kα X-rays. Input: a DFT-relaxed cell (GGA-PBE, Alexandria).
Neutral-atom scattering factors, no anomalous dispersion.

Atomic structure:
Cell lengths 10.0637, 10.0637, 10.0637 Å; angles 90.00, 90.00, 90.00 degrees
Space group Im-3m (No. 229)
Asymmetric unit:
Cs (0.0000, 0.0000, 0.0000) [2 per cell]
Yb (0.0000, 0.2500, 0.5000) [12 per cell]

Main lines, in order of rising 2θ (10 to 80 degrees two-theta):
2θ = 12.44°, I 34
2θ = 17.63°, I 40
2θ = 21.63°, I 100
2θ = 30.78°, I 50
2θ = 33.31°, I 67
2θ = 35.69°, I 42
2θ = 51.36°, I 30
2θ = 56.36°, I 23

11.
# CsZn6
Computed X-ray diffraction stick pattern, Cu Kα X-rays. Input: a DFT-relaxed cell (GGA-PBE, Alexandria).
Neutral-atom scattering factors, no anomalous dispersion.

Atomic structure:
Cell lengths 7.2440, 7.2440, 7.2440 Å; angles 90.00, 90.00, 90.00 degrees
Space group Im-3m (No. 229)
Asymmetric unit:
Cs (0.0000, 0.0000, 0.0000) [2 per cell]
Zn (0.0000, 0.2500, 0.5000) [12 per cell]

Main lines, in order of rising 2θ (10 to 80 degrees two-theta):
2θ = 24.58°, I 42
2θ = 30.22°, I 100
2θ = 43.27°, I 15
2θ = 46.93°, I 58
2θ = 50.39°, I 24
2θ = 56.84°, I 16
2θ = 71.31°, I 16
2θ = 74.03°, I 15

12.
# CsZn8
Computed X-ray diffraction stick pattern, Cu Kα X-rays. Input: a DFT-relaxed cell (GGA-PBE, Alexandria).
Neutral-atom scattering factors, no anomalous dispersion.

Atomic structure:
Cell lengths 2.9867, 6.9563, 17.1812 Å; angles 90.00, 90.00, 90.00 degrees
Space group Imm2 (No. 44)
Asymmetric unit:
Cs (0.0000, 0.0000, 0.0000) [2 per cell]
Zn (0.0000, 0.0000, 0.2130) [2 per cell]
Zn (0.0000, 0.0000, 0.4365) [2 per cell]
Zn (0.0000, 0.1978, 0.6716) [4 per cell]
Zn (0.0000, 0.3042, 0.8298) [4 per cell]
Zn (0.0000, 0.5000, 0.0672) [2 per cell]
Zn (0.0000, 0.5000, 0.2900) [2 per cell]

Main lines, in order of rising 2θ (10 to 80 degrees two-theta):
2θ = 27.67°, I 40
2θ = 28.98°, I 53
2θ = 33.14°, I 42
2θ = 38.94°, I 92
2θ = 40.00°, I 52
2θ = 40.14°, I 100
2θ = 47.29°, I 41
2θ = 49.51°, I 33

13.
# Dy2Cu3
Computed X-ray diffraction stick pattern, Cu Kα X-rays. Input: a DFT-relaxed cell (GGA-PBE, Alexandria).
Neutral-atom scattering factors, no anomalous dispersion.

Atomic structure:
Cell lengths 3.5838, 25.5466, 4.2948 Å; angles 90.00, 90.00, 90.00 degrees
Space group Cmcm (No. 63)
Asymmetric unit:
Dy (0.0000, 0.0711, 0.2500) [4 per cell]
Dy (0.0000, 0.2039, 0.7500) [4 per cell]
Cu (0.0000, 0.3290, 0.7500) [4 per cell]
Cu (0.0000, 0.3824, 0.2500) [4 per cell]
Cu (0.0000, 0.4773, 0.2500) [4 per cell]

Main lines, in order of rising 2θ (10 to 80 degrees two-theta):
2θ = 24.98°, I 33
2θ = 34.25°, I 100
2θ = 35.09°, I 62
2θ = 37.11°, I 19
2θ = 41.11°, I 47
2θ = 42.08°, I 32
2θ = 50.96°, I 18
2θ = 55.91°, I 33